Simulated powder X-ray diffraction pattern of Ti5Ga2Tc for Cu Kα, from a DFT-relaxed cell (GGA-PBE, Alexandria).

Most intense lines, 2θ from 10° to 90°, by intensity:
- 2θ = 41.08°, rel. 100.0
- 2θ = 38.97°, rel. 58.7
- 2θ = 72.02°, rel. 34.5
- 2θ = 56.30°, rel. 18.8
- 2θ = 76.24°, rel. 14.2
- 2θ = 89.12°, rel. 9.5
- 2θ = 20.62°, rel. 7.3
- 2θ = 27.29°, rel. 7.0
- 2θ = 62.58°, rel. 6.5
- 2θ = 83.70°, rel. 5.6
- 2θ = 50.02°, rel. 3.0
- 2θ = 29.72°, rel. 2.8

Structural model:
```
8
Lattice="-2.3110 2.3110 5.9373 2.3110 -2.3110 5.9373 2.3110 2.3110 -5.9373" Properties=species:S:1:pos:R:3 pbc="T T T"
Ti 0.0000 0.0000 0.0000
Ti 2.3110 0.0000 1.4323
Ti 2.3110 0.0000 4.5050
Ti 0.0000 2.3110 1.4323
Ti 0.0000 2.3110 4.5050
Ga 0.0000 0.0000 2.9735
Ga 0.0000 0.0000 8.9012
Tc 0.0000 0.0000 5.9373
```

=====

Simulated powder X-ray diffraction pattern of Tb4Nd5 for Cu Kα, from a DFT-relaxed cell (GGA-PBE, Alexandria).

Most intense lines, 2θ from 10° to 90°, by intensity:
- 2θ = 30.18°, rel. 100.0
- 2θ = 34.99°, rel. 50.7
- 2θ = 50.31°, rel. 36.2
- 2θ = 59.76°, rel. 28.8
- 2θ = 59.87°, rel. 14.3
- 2θ = 62.75°, rel. 12.4
- 2θ = 84.41°, rel. 11.0
- 2θ = 81.81°, rel. 8.8
- 2θ = 81.91°, rel. 8.8
- 2θ = 84.58°, rel. 5.5
- 2θ = 73.84°, rel. 3.8
- 2θ = 74.04°, rel. 1.9

Structural model:
```
9
Lattice="6.0147 -5.4438 0.0000 6.0147 5.4438 0.0000 -2.1746 0.0000 4.6367" Properties=species:S:1:pos:R:3 pbc="T T T"
Tb 1.6428 1.8146 0.7732
Tb 8.2121 -1.8146 3.8635
Tb 1.6428 -1.8146 0.7732
Tb 8.2121 1.8146 3.8635
Nd -1.0873 0.0000 2.3184
Nd 2.1795 0.0000 3.8543
Nd 4.9274 1.8332 2.3184
Nd 4.9274 -1.8332 2.3184
Nd 7.6754 0.0000 0.7824
```